Record 1
Simulated powder diffraction line list
Compound: Nd3SmSe4
Radiation: Cu Kα
Structure: a DFT-relaxed cell (GGA-PBE, Alexandria)
Neutral-atom scattering factors, no anomalous dispersion.

Peak list (6 most intense, 5° ≤ 2θ ≤ 70°, most intense first)
2theta  Rel. int.
30.0  100.0
42.9  75.1
29.9  50.6
52.9  20.2
53.5  19.5
42.6  19.1

Cell: 7.335 8.352 7.329 Å, 90.00 109.27 90.00°
Fractional positions:
Nd 0.000 0.124 0.250
Nd 0.000 0.374 0.750
Nd 0.000 0.626 0.250
Nd 0.000 0.876 0.750
Nd 0.500 0.125 0.750
Nd 0.500 0.875 0.250
Sm 0.500 0.374 0.250
Sm 0.500 0.626 0.750
Se 0.252 0.127 0.002
Se 0.252 0.873 0.502
Se 0.253 0.377 0.500
Se 0.253 0.623 0.000
Se 0.747 0.377 0.000
Se 0.747 0.623 0.500
Se 0.748 0.127 0.498
Se 0.748 0.873 0.998

Record 2
Simulated powder diffraction line list
Compound: Nd6Dy12Y
Radiation: Cu Kα
Structure: a DFT-relaxed cell (GGA-PBE, Alexandria)
Neutral-atom scattering factors, no anomalous dispersion.

Peak list (6 most intense, 5° ≤ 2θ ≤ 70°, most intense first)
2theta  Rel. int.
31.7  100.0
30.5  22.6
27.7  21.9
49.0  18.0
41.7  16.6
58.9  15.6

Cell: 8.705 8.705 8.705 Å, 79.62 79.62 79.62°
Fractional positions:
Nd 0.267 0.267 0.665
Nd 0.267 0.665 0.267
Nd 0.335 0.733 0.733
Nd 0.665 0.267 0.267
Nd 0.733 0.335 0.733
Nd 0.733 0.733 0.335
Dy 0.014 0.014 0.696
Dy 0.014 0.363 0.363
Dy 0.014 0.696 0.014
Dy 0.304 0.986 0.986
Dy 0.363 0.014 0.363
Dy 0.363 0.363 0.014
Dy 0.637 0.637 0.986
Dy 0.637 0.986 0.637
Dy 0.696 0.014 0.014
Dy 0.986 0.304 0.986
Dy 0.986 0.637 0.637
Dy 0.986 0.986 0.304
Y 0.500 0.500 0.500

Record 3
Simulated powder diffraction line list
Compound: Pr3Nd4Al4
Radiation: Cu Kα
Structure: a DFT-relaxed cell (GGA-PBE, Alexandria)
Neutral-atom scattering factors, no anomalous dispersion.

Peak list (6 most intense, 5° ≤ 2θ ≤ 70°, most intense first)
2theta  Rel. int.
29.8  100.0
34.9  20.1
59.4  14.0
23.4  13.4
28.9  13.1
39.8  12.1

Cell: 9.630 9.630 9.630 Å, 149.02 133.83 56.64°
Fractional positions:
Pr 0.000 0.000 0.000
Pr 0.372 0.872 0.500
Pr 0.628 0.128 0.500
Nd 0.224 0.224 0.000
Nd 0.287 0.500 0.787
Nd 0.713 0.500 0.213
Nd 0.776 0.776 0.000
Al 0.008 0.332 0.676
Al 0.344 0.668 0.676
Al 0.656 0.332 0.324
Al 0.992 0.668 0.324

Record 4
Simulated powder diffraction line list
Compound: CaYAl
Radiation: Cu Kα
Structure: a DFT-relaxed cell (GGA-PBE, Alexandria)
Neutral-atom scattering factors, no anomalous dispersion.

Peak list (6 most intense, 5° ≤ 2θ ≤ 70°, most intense first)
2theta  Rel. int.
33.7  100.0
33.0  85.3
23.4  60.8
47.9  28.2
59.8  27.9
65.6  26.5

Cell: 5.316 5.316 6.735 Å, 90.00 90.00 120.00°
Fractional positions:
Ca 0.000 0.000 0.000
Ca 0.000 0.000 0.500
Y 0.333 0.667 0.250
Y 0.667 0.333 0.750
Al 0.333 0.667 0.750
Al 0.667 0.333 0.250